Diffraction record for Cs2AlInH6. The PXRD pattern is theoretical, not measured: it uses a crystal structure in the Materials Project, relaxed with PBE and Cu Kα X-rays.

Top 12 peaks for 15° ≤ 2θ ≤ 90°, by intensity:
two_theta	intensity
28.55	100
50.56	40
81.43	20
40.81	19
66.91	17
59.09	13
17.37	10
20.08	9
33.61	7
74.30	4
45.89	4
35.15	4

Structure:
```
Cs2AlInH6
1.0
0.0000 4.4220 4.4220
4.4220 0.0000 4.4220
4.4220 4.4220 0.0000
Cs Al In H
2 1 1 6
direct
0.2500 0.2500 0.2500 Cs
0.7500 0.7500 0.7500 Cs
0.0000 0.0000 0.0000 Al
0.5000 0.5000 0.5000 In
0.2036 0.2036 0.7964 H
0.2036 0.7964 0.2036 H
0.2036 0.7964 0.7964 H
0.7964 0.2036 0.2036 H
0.7964 0.2036 0.7964 H
0.7964 0.7964 0.2036 H
```